(1)
Structure and computed X-ray diffraction stick pattern of Tl2Te3 (the GGA-PBE geometry in Alexandria; Cu Kα (weighted mean of Kα1 and Kα2)).
No peak broadening, texture or thermal motion is included.

Largest 6 diffraction maxima, sorted by position, 2θ = 5–70°:
h k l, 2θ (°), intensity
0 0 2, 22.57, 23
1 1 2, 28.71, 32
3 1 1, 29.41, 65
4 0 -2, 30.95, 52
2 2 -1, 31.07, 100
1 1 -3, 35.73, 30

```
data_Tl2Te3
_cell_length_a 13.347
_cell_length_b 6.639
_cell_length_c 8.159
_cell_angle_alpha 90.00
_cell_angle_beta 105.10
_cell_angle_gamma 90.00
_space_group_name_H-M_alt 'C 1 2/c 1'
_space_group_IT_number 15
loop_
_space_group_symop_operation_xyz
'x,y,z'
'-x,-y,-z'
'-x,y,-z+1/2'
'x,-y,z+1/2'
'x+1/2,y+1/2,z'
'-x+1/2,-y+1/2,-z'
'-x+1/2,y+1/2,-z+1/2'
'x+1/2,-y+1/2,z+1/2'
loop_
_atom_site_label
_atom_site_fract_x
_atom_site_fract_y
_atom_site_fract_z
Tl1 0.108 0.156 0.443
Te1 0.000 0.362 0.750
Te2 0.178 0.357 0.072
```

=====

(2)
Structure and computed X-ray diffraction stick pattern of Tl5Te3 (the GGA-PBE geometry in Alexandria; Cu Kα (weighted mean of Kα1 and Kα2)).
No peak broadening, texture or thermal motion is included.

Largest 6 diffraction maxima, sorted by position, 2θ = 5–70°:
h k l, 2θ (°), intensity
3 2 1, 28.24, 83
2 0 2, 30.48, 53
4 2 0, 30.77, 76
4 1 1, 31.48, 100
2 2 2, 33.53, 46
4 1 3, 50.75, 27

```
data_Tl5Te3
_cell_length_a 12.993
_cell_length_b 12.993
_cell_length_c 6.573
_cell_angle_alpha 90.00
_cell_angle_beta 90.00
_cell_angle_gamma 90.00
_space_group_name_H-M_alt 'I 4/m c m'
_space_group_IT_number 140
_space_group_name_Hall '-I 4 2c'
loop_
_atom_site_label
_atom_site_fract_x
_atom_site_fract_y
_atom_site_fract_z
Tl1 0.000 0.500 0.250
Tl2 0.086 0.220 0.000
Te1 0.000 0.000 0.250
Te2 0.156 0.344 0.500
```

=====

(3)
Structure and computed X-ray diffraction stick pattern of TmTl3Te3 (the GGA-PBE geometry in Alexandria; Cu Kα (weighted mean of Kα1 and Kα2)).
No peak broadening, texture or thermal motion is included.

Largest 6 diffraction maxima, sorted by position, 2θ = 5–70°:
h k l, 2θ (°), intensity
2 0 -2, 23.19, 13
2 1 0, 27.38, 100
2 1 -4, 39.10, 49
0 2 0, 40.26, 13
0 2 4, 49.37, 13
4 2 -4, 63.89, 20

```
data_TmTl3Te3
_cell_length_a 9.489
_cell_length_b 4.480
_cell_length_c 13.033
_cell_angle_alpha 90.00
_cell_angle_beta 90.11
_cell_angle_gamma 90.00
_space_group_name_H-M_alt 'P 1 21/m 1'
_space_group_IT_number 11
loop_
_space_group_symop_operation_xyz
'x,y,z'
'-x,-y,-z'
'-x,y+1/2,-z'
'x,-y+1/2,z'
loop_
_atom_site_label
_atom_site_fract_x
_atom_site_fract_y
_atom_site_fract_z
Tm1 0.119 0.250 0.121
Tl1 0.133 0.250 0.626
Tl2 0.354 0.750 0.362
Tl3 0.378 0.750 0.868
Te1 0.104 0.250 0.885
Te2 0.111 0.250 0.356
Te3 0.341 0.750 0.116
```

=====

(4)
Structure and computed X-ray diffraction stick pattern of TmTlTe4 (the GGA-PBE geometry in Alexandria; Cu Kα (weighted mean of Kα1 and Kα2)).
No peak broadening, texture or thermal motion is included.

Largest 6 diffraction maxima, sorted by position, 2θ = 5–70°:
h k l, 2θ (°), intensity
1 1 2, 27.64, 100
2 1 1, 31.16, 73
2 0 2, 33.44, 53
3 1 0, 42.03, 50
2 2 2, 43.04, 29
4 0 2, 58.29, 26

```
data_TmTlTe4
_cell_length_a 6.797
_cell_length_b 6.797
_cell_length_c 8.712
_cell_angle_alpha 90.00
_cell_angle_beta 90.00
_cell_angle_gamma 90.00
_space_group_name_H-M_alt 'P 4/n b m'
_space_group_IT_number 125
loop_
_space_group_symop_operation_xyz
'x,y,z'
'-x,-y,-z'
'-y+1/2,x,z'
'y+1/2,-x,-z'
'-x+1/2,-y+1/2,z'
'x+1/2,y+1/2,-z'
'y,-x+1/2,z'
'-y,x+1/2,-z'
'x,-y+1/2,-z'
'-x,y+1/2,z'
'-y+1/2,-x+1/2,-z'
'y+1/2,x+1/2,z'
'-x+1/2,y,-z'
'x+1/2,-y,z'
'y,x,-z'
'-y,-x,z'
loop_
_atom_site_label
_atom_site_fract_x
_atom_site_fract_y
_atom_site_fract_z
Tm1 0.250 0.250 0.000
Tl1 0.250 0.250 0.500
Te1 0.102 0.602 0.209
```

=====

(5)
Structure and computed X-ray diffraction stick pattern of Tm4TlTe2 (the GGA-PBE geometry in Alexandria; Cu Kα (weighted mean of Kα1 and Kα2)).
No peak broadening, texture or thermal motion is included.

Largest 6 diffraction maxima, sorted by position, 2θ = 5–70°:
h k l, 2θ (°), intensity
2 2 0, 26.58, 54
3 0 1, 29.86, 51
1 0 3, 30.40, 100
3 2 1, 35.47, 65
4 0 0, 37.95, 47
3 3 2, 45.02, 40

```
data_Tm4TlTe2
_cell_length_a 9.484
_cell_length_b 9.484
_cell_length_c 9.277
_cell_angle_alpha 90.00
_cell_angle_beta 90.00
_cell_angle_gamma 90.00
_space_group_name_H-M_alt 'I 41/a m d'
_space_group_IT_number 141
loop_
_space_group_symop_operation_xyz
'x,y,z'
'-x,-y,-z'
'-y+1/4,x+3/4,z+1/4'
'y+1/4,-x+3/4,-z+1/4'
'-x+1/2,-y,z+1/2'
'x+1/2,y,-z+1/2'
'y+1/4,-x+1/4,z+3/4'
'-y+1/4,x+1/4,-z+3/4'
'x,-y,-z'
'-x,y,z'
'-y+1/4,-x+1/4,-z+3/4'
'y+1/4,x+1/4,z+3/4'
'-x+1/2,y,-z+1/2'
'x+1/2,-y,z+1/2'
'y+1/4,x+3/4,-z+1/4'
'-y+1/4,-x+3/4,z+1/4'
'x+1/2,y+1/2,z+1/2'
'-x+1/2,-y+1/2,-z+1/2'
'-y+3/4,x+1/4,z+3/4'
'y+3/4,-x+1/4,-z+3/4'
'-x,-y+1/2,z'
'x,y+1/2,-z'
'y+3/4,-x+3/4,z+1/4'
'-y+3/4,x+3/4,-z+1/4'
'x+1/2,-y+1/2,-z+1/2'
'-x+1/2,y+1/2,z+1/2'
'-y+3/4,-x+3/4,-z+1/4'
'y+3/4,x+3/4,z+1/4'
'-x,y+1/2,-z'
'x,-y+1/2,z'
'y+3/4,x+1/4,-z+3/4'
'-y+3/4,-x+1/4,z+3/4'
loop_
_atom_site_label
_atom_site_fract_x
_atom_site_fract_y
_atom_site_fract_z
Tm1 0.000 0.060 0.180
Tl1 0.000 0.250 0.875
Te1 0.000 0.000 0.500
```

=====

(6)
Structure and computed X-ray diffraction stick pattern of Tm8TlTe2 (the GGA-PBE geometry in Alexandria; Cu Kα (weighted mean of Kα1 and Kα2)).
No peak broadening, texture or thermal motion is included.

Largest 6 diffraction maxima, sorted by position, 2θ = 5–70°:
h k l, 2θ (°), intensity
2 0 1, 30.37, 74
0 4 1, 30.65, 89
1 1 -2, 31.51, 70
3 1 -1, 33.38, 93
2 4 0, 34.33, 100
1 5 -1, 37.01, 83

```
data_Tm8TlTe2
_cell_length_a 8.420
_cell_length_b 13.648
_cell_length_c 5.827
_cell_angle_alpha 90.00
_cell_angle_beta 105.31
_cell_angle_gamma 90.00
_space_group_name_H-M_alt 'C 1 2/m 1'
_space_group_IT_number 12
loop_
_space_group_symop_operation_xyz
'x,y,z'
'-x,-y,-z'
'-x,y,-z'
'x,-y,z'
'x+1/2,y+1/2,z'
'-x+1/2,-y+1/2,-z'
'-x+1/2,y+1/2,-z'
'x+1/2,-y+1/2,z'
loop_
_atom_site_label
_atom_site_fract_x
_atom_site_fract_y
_atom_site_fract_z
Tm1 0.000 0.241 0.000
Tm2 0.101 0.500 0.800
Tm3 0.203 0.115 0.642
Tl1 0.000 0.000 0.000
Te1 0.000 0.304 0.500
```

=====

(7)
Structure and computed X-ray diffraction stick pattern of UTlTe4 (the GGA-PBE geometry in Alexandria; Cu Kα (weighted mean of Kα1 and Kα2)).
No peak broadening, texture or thermal motion is included.

Largest 6 diffraction maxima, sorted by position, 2θ = 5–70°:
h k l, 2θ (°), intensity
1 1 0, 18.34, 26
1 1 2, 27.57, 100
2 1 1, 30.99, 62
2 0 2, 33.32, 61
3 1 0, 41.76, 50
3 3 2, 61.32, 23

```
data_UTlTe4
_cell_length_a 6.840
_cell_length_b 6.840
_cell_length_c 8.707
_cell_angle_alpha 90.00
_cell_angle_beta 90.00
_cell_angle_gamma 90.00
_space_group_name_H-M_alt 'P 4/n b m'
_space_group_IT_number 125
loop_
_space_group_symop_operation_xyz
'x,y,z'
'-x,-y,-z'
'-y+1/2,x,z'
'y+1/2,-x,-z'
'-x+1/2,-y+1/2,z'
'x+1/2,y+1/2,-z'
'y,-x+1/2,z'
'-y,x+1/2,-z'
'x,-y+1/2,-z'
'-x,y+1/2,z'
'-y+1/2,-x+1/2,-z'
'y+1/2,x+1/2,z'
'-x+1/2,y,-z'
'x+1/2,-y,z'
'y,x,-z'
'-y,-x,z'
loop_
_atom_site_label
_atom_site_fract_x
_atom_site_fract_y
_atom_site_fract_z
U1 0.250 0.250 0.000
Tl1 0.250 0.250 0.500
Te1 0.098 0.598 0.209
```

=====

(8)
Structure and computed X-ray diffraction stick pattern of TlV5Te8 (the GGA-PBE geometry in Alexandria; Cu Kα (weighted mean of Kα1 and Kα2)).
No peak broadening, texture or thermal motion is included.

Largest 6 diffraction maxima, sorted by position, 2θ = 5–70°:
h k l, 2θ (°), intensity
0 0 3, 28.90, 37
3 1 1, 29.34, 100
6 0 -2, 29.66, 49
3 1 -2, 30.81, 66
3 1 -3, 36.94, 36
9 1 -1, 46.98, 44

```
data_TlV5Te8
_cell_length_a 19.972
_cell_length_b 3.944
_cell_length_c 9.550
_cell_angle_alpha 90.00
_cell_angle_beta 103.91
_cell_angle_gamma 90.00
_space_group_name_H-M_alt 'C 1 2/m 1'
_space_group_IT_number 12
loop_
_space_group_symop_operation_xyz
'x,y,z'
'-x,-y,-z'
'-x,y,-z'
'x,-y,z'
'x+1/2,y+1/2,z'
'-x+1/2,-y+1/2,-z'
'-x+1/2,y+1/2,-z'
'x+1/2,-y+1/2,z'
loop_
_atom_site_label
_atom_site_fract_x
_atom_site_fract_y
_atom_site_fract_z
Tl1 0.000 0.000 0.000
V1 0.000 0.500 0.500
V2 0.151 0.000 0.499
V3 0.210 0.000 0.842
Te1 0.069 0.000 0.683
Te2 0.088 0.500 0.319
Te3 0.161 0.500 0.992
Te4 0.241 0.500 0.654
```

=====

(9)
Structure and computed X-ray diffraction stick pattern of Tl4VTe5 (the GGA-PBE geometry in Alexandria; Cu Kα (weighted mean of Kα1 and Kα2)).
No peak broadening, texture or thermal motion is included.

Largest 6 diffraction maxima, sorted by position, 2θ = 5–70°:
h k l, 2θ (°), intensity
0 0 2, 26.40, 65
1 3 0, 28.24, 100
3 2 1, 35.00, 25
1 3 2, 39.05, 81
4 2 0, 40.37, 28
4 2 2, 48.88, 37

```
data_Tl4VTe5
_cell_length_a 9.991
_cell_length_b 9.991
_cell_length_c 6.752
_cell_angle_alpha 90.00
_cell_angle_beta 90.00
_cell_angle_gamma 90.00
_space_group_name_H-M_alt 'I 4'
_space_group_IT_number 79
loop_
_space_group_symop_operation_xyz
'x,y,z'
'-y,x,z'
'-x,-y,z'
'y,-x,z'
'x+1/2,y+1/2,z+1/2'
'-y+1/2,x+1/2,z+1/2'
'-x+1/2,-y+1/2,z+1/2'
'y+1/2,-x+1/2,z+1/2'
loop_
_atom_site_label
_atom_site_fract_x
_atom_site_fract_y
_atom_site_fract_z
Tl1 0.089 0.312 0.000
V1 0.000 0.000 0.404
Te1 0.000 0.000 0.029
Te2 0.095 0.244 0.485
```

=====

(10)
Structure and computed X-ray diffraction stick pattern of TlV3Te6 (the GGA-PBE geometry in Alexandria; Cu Kα (weighted mean of Kα1 and Kα2)).
No peak broadening, texture or thermal motion is included.

Largest 6 diffraction maxima, sorted by position, 2θ = 5–70°:
h k l, 2θ (°), intensity
2 1 0, 28.31, 31
4 0 -1, 28.93, 77
2 1 -2, 29.97, 51
2 1 1, 30.46, 100
3 0 -4, 32.11, 32
0 1 5, 45.41, 30

```
data_TlV3Te6
_cell_length_a 12.352
_cell_length_b 3.727
_cell_length_c 12.369
_cell_angle_alpha 90.00
_cell_angle_beta 106.99
_cell_angle_gamma 90.00
_space_group_name_H-M_alt 'P 1 21/m 1'
_space_group_IT_number 11
loop_
_space_group_symop_operation_xyz
'x,y,z'
'-x,-y,-z'
'-x,y+1/2,-z'
'x,-y+1/2,z'
loop_
_atom_site_label
_atom_site_fract_x
_atom_site_fract_y
_atom_site_fract_z
Tl1 0.103 0.250 0.370
V1 0.162 0.250 0.037
V2 0.311 0.750 0.733
V3 0.481 0.750 0.334
Te1 0.045 0.750 0.126
Te2 0.151 0.250 0.650
Te3 0.244 0.750 0.930
Te4 0.317 0.250 0.249
Te5 0.378 0.750 0.537
Te6 0.464 0.250 0.852
```

=====

(11)
Structure and computed X-ray diffraction stick pattern of Tl4VTe4 (the GGA-PBE geometry in Alexandria; Cu Kα (weighted mean of Kα1 and Kα2)).
No peak broadening, texture or thermal motion is included.

Largest 6 diffraction maxima, sorted by position, 2θ = 5–70°:
h k l, 2θ (°), intensity
0 0 2, 25.42, 32
2 2 0, 25.89, 100
3 1 1, 31.75, 33
2 2 2, 36.60, 53
4 0 0, 36.94, 41
5 3 1, 56.67, 33

```
data_Tl4VTe4
_cell_length_a 9.733
_cell_length_b 9.733
_cell_length_c 7.009
_cell_angle_alpha 90.00
_cell_angle_beta 90.00
_cell_angle_gamma 90.00
_space_group_name_H-M_alt 'P 42/n m c'
_space_group_IT_number 137
loop_
_space_group_symop_operation_xyz
'x,y,z'
'-x,-y,-z'
'-y+1/2,x,z+1/2'
'y+1/2,-x,-z+1/2'
'-x+1/2,-y+1/2,z'
'x+1/2,y+1/2,-z'
'y,-x+1/2,z+1/2'
'-y,x+1/2,-z+1/2'
'x+1/2,-y,-z'
'-x+1/2,y,z'
'-y,-x,-z+1/2'
'y,x,z+1/2'
'-x,y+1/2,-z'
'x,-y+1/2,z'
'y+1/2,x+1/2,-z+1/2'
'-y+1/2,-x+1/2,z+1/2'
loop_
_atom_site_label
_atom_site_fract_x
_atom_site_fract_y
_atom_site_fract_z
Tl1 0.028 0.250 0.068
V1 0.250 0.750 0.250
Te1 0.032 0.750 0.457
```

=====

(12)
Structure and computed X-ray diffraction stick pattern of Y3TlTe4 (the GGA-PBE geometry in Alexandria; Cu Kα (weighted mean of Kα1 and Kα2)).
No peak broadening, texture or thermal motion is included.

Largest 6 diffraction maxima, sorted by position, 2θ = 5–70°:
h k l, 2θ (°), intensity
1 0 5, 27.55, 84
1 0 6, 29.21, 100
1 0 11, 39.92, 36
1 1 0, 41.13, 64
2 0 6, 51.24, 21
2 1 6, 67.71, 18

```
data_Y3TlTe4
_cell_length_a 4.3890
_cell_length_b 4.3890
_cell_length_c 30.8847
_cell_angle_alpha 90.00
_cell_angle_beta 90.00
_cell_angle_gamma 120.00
_space_group_name_H-M_alt 'P 63/m m c'
_space_group_IT_number 194
_space_group_name_Hall '-P 6c 2c'
loop_
_atom_site_label
_atom_site_fract_x
_atom_site_fract_y
_atom_site_fract_z
Y1 0.0000 0.0000 0.0000
Y2 0.3333 0.6667 0.1153
Tl1 0.3333 0.6667 0.7500
Te1 0.0000 0.0000 0.1724
Te2 0.3333 0.6667 0.5575
```